Entry 1:
# Nb4FeTe4
Calculated powder diffraction line list, Cu Kα, 1.54184 Å. Input: a DFT-relaxed cell (GGA-PBE, OQMD).
Intensities are scaled so that the largest is 100.

Structural model:
```
data_Nb4FeTe4
_cell_length_a 10.636
_cell_length_b 18.452
_cell_length_c 4.875
_cell_angle_alpha 90.00
_cell_angle_beta 90.00
_cell_angle_gamma 90.00
_symmetry_space_group_name_H-M 'P b a m'
_symmetry_Int_Tables_number 55
loop_
_symmetry_equiv_pos_as_xyz
'x,y,z'
'-x,-y,-z'
'-x,-y,z'
'x,y,-z'
'x+1/2,-y+1/2,-z'
'-x+1/2,y+1/2,z'
'-x+1/2,y+1/2,-z'
'x+1/2,-y+1/2,z'
loop_
_atom_site_label
_atom_site_type_symbol
_atom_site_fract_x
_atom_site_fract_y
_atom_site_fract_z
Nb1 Nb 0.066 0.119 0.000
Nb2 Nb 0.100 0.890 0.500
Nb3 Nb 0.194 0.058 0.500
Nb4 Nb 0.209 0.963 0.000
Fe1 Fe 0.000 0.000 0.250
Te1 Te 0.111 0.205 0.500
Te2 Te 0.144 0.435 0.500
Te3 Te 0.168 0.600 0.000
Te4 Te 0.171 0.810 0.000
```

Principal peaks in the range 10° ≤ 2θ ≤ 90°, most intense first:
2theta  d/Å  I_rel  index
36.89  2.437  100  0 0 2
35.53  2.527  76  1 6 1
25.25  3.527  68  2 1 1
41.37  2.182  46  4 3 1
16.66  5.322  40  2 0 0
27.92  3.196  35  1 4 1
34.85  2.575  33  2 5 1
38.89  2.316  32  4 1 1

Entry 2:
# Nd3Fe29
Calculated powder diffraction line list, Cu Kα, 1.54184 Å. Input: a DFT-relaxed cell (GGA-PBE, OQMD).
Intensities are scaled so that the largest is 100.

Structural model:
```
data_Nd3Fe29
_cell_length_a 9.641
_cell_length_b 8.515
_cell_length_c 10.431
_cell_angle_alpha 90.00
_cell_angle_beta 96.16
_cell_angle_gamma 90.00
_symmetry_space_group_name_H-M 'C 1 2/m 1'
_symmetry_Int_Tables_number 12
loop_
_symmetry_equiv_pos_as_xyz
'x,y,z'
'-x,-y,-z'
'-x,y,-z'
'x,-y,z'
'x+1/2,y+1/2,z'
'-x+1/2,-y+1/2,-z'
'-x+1/2,y+1/2,-z'
'x+1/2,-y+1/2,z'
loop_
_atom_site_label
_atom_site_type_symbol
_atom_site_fract_x
_atom_site_fract_y
_atom_site_fract_z
Nd1 Nd 0.000 0.000 0.000
Nd2 Nd 0.186 0.000 0.599
Fe1 Fe 0.000 0.360 0.000
Fe2 Fe 0.000 0.500 0.500
Fe3 Fe 0.021 0.500 0.253
Fe4 Fe 0.064 0.252 0.404
Fe5 Fe 0.090 0.225 0.804
Fe6 Fe 0.096 0.000 0.291
Fe7 Fe 0.156 0.253 0.197
Fe8 Fe 0.184 0.355 0.625
Fe9 Fe 0.207 0.500 0.860
Fe10 Fe 0.219 0.500 0.106
Fe11 Fe 0.250 0.250 0.000
```

Principal peaks in the range 10° ≤ 2θ ≤ 90°, most intense first:
2theta  d/Å  I_rel  index
42.90  2.108  100  1 3 3
43.41  2.084  84  2 2 -4
43.27  2.091  68  4 0 2
43.61  2.075  57  0 0 5
42.46  2.129  45  0 4 0
30.27  2.953  42  1 1 3
36.83  2.441  41  1 3 -2
48.82  1.865  33  0 2 5

Entry 3:
# Nd6Fe13Pd
Calculated powder diffraction line list, Cu Kα, 1.54184 Å. Input: a DFT-relaxed cell (GGA-PBE, OQMD).
Intensities are scaled so that the largest is 100.

Structural model:
```
data_Nd6Fe13Pd
_cell_length_a 7.976
_cell_length_b 7.976
_cell_length_c 22.624
_cell_angle_alpha 90.00
_cell_angle_beta 90.00
_cell_angle_gamma 90.00
_symmetry_space_group_name_H-M 'I 4/m c m'
_symmetry_Int_Tables_number 140
_symmetry_space_group_name_Hall '-I 4 2c'
loop_
_atom_site_label
_atom_site_type_symbol
_atom_site_fract_x
_atom_site_fract_y
_atom_site_fract_z
Nd1 Nd 0.000 0.000 0.109
Nd2 Nd 0.164 0.336 0.189
Fe1 Fe 0.000 0.500 0.000
Fe2 Fe 0.067 0.209 0.500
Fe3 Fe 0.114 0.386 0.403
Fe4 Fe 0.179 0.321 0.060
Pd1 Pd 0.000 0.000 0.250
```

Principal peaks in the range 10° ≤ 2θ ≤ 90°, most intense first:
2theta  d/Å  I_rel  index
35.57  2.524  100  3 1 0
39.06  2.306  73  2 0 8
31.95  2.801  61  2 1 5
27.67  3.224  55  2 1 3
47.16  1.927  28  4 1 1
44.07  2.055  27  2 1 9
39.87  2.261  26  0 0 10
59.00  1.566  26  3 3 8

Entry 4:
# NdFeSi2Pd
Calculated powder diffraction line list, Cu Kα, 1.54184 Å. Input: a DFT-relaxed cell (GGA-PBE, OQMD).
Intensities are scaled so that the largest is 100.

Structural model:
```
data_NdFeSi2Pd
_cell_length_a 4.155
_cell_length_b 4.155
_cell_length_c 9.842
_cell_angle_alpha 90.00
_cell_angle_beta 90.00
_cell_angle_gamma 90.00
_symmetry_space_group_name_H-M 'I -4 m 2'
_symmetry_Int_Tables_number 119
_symmetry_space_group_name_Hall 'I -4 -2'
loop_
_atom_site_label
_atom_site_type_symbol
_atom_site_fract_x
_atom_site_fract_y
_atom_site_fract_z
Nd1 Nd 0.000 0.000 0.000
Fe1 Fe 0.000 0.500 0.750
Si1 Si 0.000 0.000 0.374
Pd1 Pd 0.000 0.500 0.250
```

Principal peaks in the range 10° ≤ 2θ ≤ 90°, most intense first:
2theta  d/Å  I_rel  index
35.59  2.523  100  1 1 2
34.84  2.575  40  1 0 3
23.24  3.828  40  1 0 1
43.56  2.078  39  2 0 0
74.78  1.270  22  3 1 2
56.95  1.617  19  2 1 3
65.13  1.432  17  1 1 6
58.11  1.587  16  2 0 4

Entry 5:
# PrNdFe2Sn4
Calculated powder diffraction line list, Cu Kα, 1.54184 Å. Input: a DFT-relaxed cell (GGA-PBE, OQMD).
Intensities are scaled so that the largest is 100.

Structural model:
```
data_PrNdFe2Sn4
_cell_length_a 4.715
_cell_length_b 4.631
_cell_length_c 9.070
_cell_angle_alpha 90.00
_cell_angle_beta 104.99
_cell_angle_gamma 90.00
_symmetry_space_group_name_H-M 'P 1 m 1'
_symmetry_Int_Tables_number 6
loop_
_symmetry_equiv_pos_as_xyz
'x,y,z'
'x,-y,z'
loop_
_atom_site_label
_atom_site_type_symbol
_atom_site_fract_x
_atom_site_fract_y
_atom_site_fract_z
Pr1 Pr 0.000 0.000 0.000
Nd1 Nd 0.129 0.500 0.440
Fe1 Fe 0.318 0.500 0.839
Fe2 Fe 0.815 0.000 0.599
Sn1 Sn 0.359 0.000 0.719
Sn2 Sn 0.561 0.000 0.322
Sn3 Sn 0.569 0.500 0.117
Sn4 Sn 0.774 0.500 0.718
```

Principal peaks in the range 10° ≤ 2θ ≤ 90°, most intense first:
2theta  d/Å  I_rel  index
31.10  2.875  100  1 1 -2
38.90  2.315  29  0 2 0
36.37  2.470  27  0 1 3
31.80  2.814  20  1 0 2
38.17  2.357  20  2 0 -1
65.63  1.423  15  1 3 -2
55.64  1.652  13  2 2 -1
53.76  1.705  12  2 1 -4

Entry 6:
# NdFeSb3
Calculated powder diffraction line list, Cu Kα, 1.54184 Å. Input: a DFT-relaxed cell (GGA-PBE, OQMD).
Intensities are scaled so that the largest is 100.

Structural model:
```
data_NdFeSb3
_cell_length_a 12.784
_cell_length_b 6.178
_cell_length_c 12.135
_cell_angle_alpha 90.00
_cell_angle_beta 90.00
_cell_angle_gamma 90.00
_symmetry_space_group_name_H-M 'P b c m'
_symmetry_Int_Tables_number 57
loop_
_symmetry_equiv_pos_as_xyz
'x,y,z'
'-x,-y,-z'
'-x,-y,z+1/2'
'x,y,-z+1/2'
'x,-y+1/2,-z'
'-x,y+1/2,z'
'-x,y+1/2,-z+1/2'
'x,-y+1/2,z+1/2'
loop_
_atom_site_label
_atom_site_type_symbol
_atom_site_fract_x
_atom_site_fract_y
_atom_site_fract_z
Nd1 Nd 0.196 0.223 0.250
Nd2 Nd 0.201 0.750 0.000
Fe1 Fe 0.401 0.037 0.638
Sb1 Sb 0.003 0.014 0.624
Sb2 Sb 0.284 0.250 0.000
Sb3 Sb 0.287 0.732 0.250
Sb4 Sb 0.443 0.115 0.250
Sb5 Sb 0.472 0.750 0.000
```

Principal peaks in the range 10° ≤ 2θ ≤ 90°, most intense first:
2theta  d/Å  I_rel  index
34.90  2.571  100  4 1 2
41.73  2.164  73  0 2 4
32.18  2.781  60  2 2 0
32.67  2.741  42  2 0 4
36.35  2.471  32  3 0 4
29.43  3.035  29  0 0 4
27.92  3.196  28  4 0 0
55.81  1.647  25  4 1 6

Entry 7:
# Nd3Fe3Sb7
Calculated powder diffraction line list, Cu Kα, 1.54184 Å. Input: a DFT-relaxed cell (GGA-PBE, OQMD).
Intensities are scaled so that the largest is 100.

Structural model:
```
data_Nd3Fe3Sb7
_cell_length_a 13.2754
_cell_length_b 13.2754
_cell_length_c 4.1915
_cell_angle_alpha 90.00
_cell_angle_beta 90.00
_cell_angle_gamma 120.00
_symmetry_space_group_name_H-M 'P 63/m'
_symmetry_Int_Tables_number 176
_symmetry_space_group_name_Hall '-P 6c'
loop_
_atom_site_label
_atom_site_type_symbol
_atom_site_fract_x
_atom_site_fract_y
_atom_site_fract_z
Nd1 Nd 0.1830 0.7218 0.2500
Fe1 Fe 0.0515 0.1249 0.2500
Sb1 Sb 0.0235 0.4335 0.2500
Sb2 Sb 0.0822 0.2721 0.7500
Sb3 Sb 0.3333 0.6667 0.7500
```

Principal peaks in the range 10° ≤ 2θ ≤ 90°, most intense first:
2theta  d/Å  I_rel  index
35.37  2.538  100  3 1 1
29.61  3.017  86  2 1 1
35.79  2.509  45  1 4 0
27.98  3.189  41  3 1 0
43.17  2.096  32  0 0 2
57.28  1.608  23  1 4 2
31.63  2.828  22  3 0 1
34.47  2.602  22  2 2 1

Entry 8:
# NdFeSi
Calculated powder diffraction line list, Cu Kα, 1.54184 Å. Input: a DFT-relaxed cell (GGA-PBE, OQMD).
Intensities are scaled so that the largest is 100.

Structural model:
```
data_NdFeSi
_cell_length_a 4.054
_cell_length_b 4.054
_cell_length_c 6.907
_cell_angle_alpha 90.00
_cell_angle_beta 90.00
_cell_angle_gamma 90.00
_symmetry_space_group_name_H-M 'P 4 m m'
_symmetry_Int_Tables_number 99
loop_
_symmetry_equiv_pos_as_xyz
'x,y,z'
'-y,x,z'
'-x,-y,z'
'y,-x,z'
'-x,y,z'
'y,x,z'
'x,-y,z'
'-y,-x,z'
loop_
_atom_site_label
_atom_site_type_symbol
_atom_site_fract_x
_atom_site_fract_y
_atom_site_fract_z
Nd1 Nd 0.000 0.000 0.000
Nd2 Nd 0.500 0.500 0.366
Fe1 Fe 0.000 0.500 0.685
Si1 Si 0.000 0.000 0.521
Si2 Si 0.500 0.500 0.848
```

Principal peaks in the range 10° ≤ 2θ ≤ 90°, most intense first:
2theta  d/Å  I_rel  index
25.48  3.496  100  1 0 1
34.11  2.629  74  1 0 2
40.92  2.206  71  1 1 2
44.71  2.027  52  2 0 0
33.86  2.648  46  1 1 1
31.20  2.867  34  1 1 0
57.40  1.605  33  2 1 2
52.16  1.754  29  2 1 1

Entry 9:
# Nd6Fe13Sn
Calculated powder diffraction line list, Cu Kα, 1.54184 Å. Input: a DFT-relaxed cell (GGA-PBE, OQMD).
Intensities are scaled so that the largest is 100.

Structural model:
```
data_Nd6Fe13Sn
_cell_length_a 8.010
_cell_length_b 8.010
_cell_length_c 23.361
_cell_angle_alpha 90.00
_cell_angle_beta 90.00
_cell_angle_gamma 90.00
_symmetry_space_group_name_H-M 'I 4/m c m'
_symmetry_Int_Tables_number 140
_symmetry_space_group_name_Hall '-I 4 2c'
loop_
_atom_site_label
_atom_site_type_symbol
_atom_site_fract_x
_atom_site_fract_y
_atom_site_fract_z
Nd1 Nd 0.000 0.000 0.105
Nd2 Nd 0.164 0.336 0.185
Fe1 Fe 0.000 0.500 0.000
Fe2 Fe 0.067 0.210 0.500
Fe3 Fe 0.113 0.387 0.406
Fe4 Fe 0.179 0.321 0.059
Sn1 Sn 0.000 0.000 0.250
```

Principal peaks in the range 10° ≤ 2θ ≤ 90°, most intense first:
2theta  d/Å  I_rel  index
35.44  2.533  100  3 1 0
27.41  3.254  88  2 1 3
31.47  2.843  86  2 1 5
38.14  2.360  70  2 0 8
43.03  2.102  52  2 1 9
46.93  1.936  43  4 1 1
32.06  2.792  41  2 0 6
34.56  2.595  39  1 1 8

Entry 10:
# Fe7Ni
Calculated powder diffraction line list, Cu Kα, 1.54184 Å. Input: a DFT-relaxed cell (GGA-PBE, OQMD).
Intensities are scaled so that the largest is 100.

Structural model:
```
data_Fe7Ni
_cell_length_a 5.667
_cell_length_b 5.667
_cell_length_c 5.667
_cell_angle_alpha 90.00
_cell_angle_beta 90.00
_cell_angle_gamma 90.00
_symmetry_space_group_name_H-M 'I m -3 m'
_symmetry_Int_Tables_number 229
_symmetry_space_group_name_Hall '-I 4 2 3'
loop_
_atom_site_label
_atom_site_type_symbol
_atom_site_fract_x
_atom_site_fract_y
_atom_site_fract_z
Fe1 Fe 0.000 0.000 0.500
Fe2 Fe 0.250 0.250 0.250
Ni1 Ni 0.000 0.000 0.000
```

Principal peaks in the range 10° ≤ 2θ ≤ 90°, most intense first:
2theta  d/Å  I_rel  index
45.26  2.004  100  2 2 0
83.58  1.157  29  4 2 2
65.93  1.417  15  4 0 0

Question: Which formula does entry 10 have?
Answer: Fe7Ni